(1)
This entry pairs a crystal structure of V6GaGe with its simulated PXRD pattern. Radiation: Cu Kα X-rays. Structure: a DFT-relaxed cell (GGA-PBE, the Materials Project).
No peak broadening, texture or thermal motion is included.

Most intense lines, 2θ from 10° to 90°, by intensity:
- 46.6°, d = 1.951 Å, rel. 100, hkl 2 1 1
- 42.3°, d = 2.137 Å, rel. 85, hkl 2 0 1
- 37.7°, d = 2.389 Å, rel. 47, hkl 2 0 0
- 74.3°, d = 1.277 Å, rel. 46, hkl 3 2 1
- 71.1°, d = 1.325 Å, rel. 16, hkl 3 2 0
- 80.4°, d = 1.194 Å, rel. 14, hkl 4 0 0
- 26.4°, d = 3.379 Å, rel. 8, hkl 1 1 0
- 68.0°, d = 1.379 Å, rel. 3, hkl 2 2 2

Structural model:
Cell lengths 4.778, 4.778, 4.778 Å; angles 90.00, 90.00, 90.00 degrees
Space group Pm-3 (No. 200)
Asymmetric unit:
V1 0.000 0.251 0.500 (multiplicity 6)
Ga1 0.000 0.000 0.000 (multiplicity 1)
Ge1 0.500 0.500 0.500 (multiplicity 1)

---

(2)
This entry pairs a crystal structure of GaH with its simulated PXRD pattern. Radiation: Cu Kα X-rays. Structure: a DFT-relaxed cell (GGA-PBE, the Materials Project).
No peak broadening, texture or thermal motion is included.

Most intense lines, 2θ from 10° to 90°, by intensity:
- 35.9°, d = 2.501 Å, rel. 100, hkl 1 0 1
- 31.5°, d = 2.836 Å, rel. 32, hkl 0 0 2
- 32.1°, d = 2.786 Å, rel. 24, hkl 1 0 0
- 59.0°, d = 1.565 Å, rel. 24, hkl 1 0 3
- 66.9°, d = 1.399 Å, rel. 21, hkl 1 1 2
- 57.3°, d = 1.609 Å, rel. 17, hkl 1 1 0
- 45.6°, d = 1.988 Å, rel. 17, hkl 1 0 2
- 69.5°, d = 1.353 Å, rel. 14, hkl 2 0 1

Structural model:
Cell lengths 3.2173, 3.2173, 5.6730 Å; angles 90.00, 90.00, 120.00 degrees
Space group P6_3mc (No. 186)
Asymmetric unit:
Ga1 0.3333 0.6667 0.0000 (multiplicity 2)
H1 0.3333 0.6667 0.3403 (multiplicity 2)